Entry 1:
The following is a simulated X-ray powder pattern of LaSe2. It was derived from the PBE geometry in the Materials Project, using Cu Kα (λ = 1.5418 Å).

Top 10 peaks for 10 to 90 degrees two-theta, in order of rising 2θ:
2θ/deg  I/Imax
25.94  48
27.61  83
29.63  100
32.28  55
33.45  55
37.74  43
39.36  43
39.89  49
40.27  43
44.59  56

Structural model:
```
LaSe2
1.0
4.5476 0.0000 0.0000
0.0000 8.4153 0.0000
-2.9584 0.0000 9.0403
La Se
4 8
Cartesian
-0.6591 1.9212 3.6699
-2.1383 2.2865 8.1901
3.7275 6.1288 0.8502
2.2482 6.4941 5.3703
-1.6592 5.2660 8.0371
-0.1800 7.3569 3.5170
0.1276 4.3112 5.5745
1.6068 8.3118 1.0544
-0.0177 0.1035 7.9859
1.4616 4.1041 3.4657
1.7692 1.0584 5.5233
3.2484 3.1493 1.0031
```



Entry 2:
The following is a simulated X-ray powder pattern of LaSe2. It was derived from the PBE geometry in the Materials Project, using Cu Kα (λ = 1.5418 Å).

Top 10 peaks for 10 to 90 degrees two-theta, in order of rising 2θ:
2θ/deg  I/Imax
23.19  40
29.51  41
31.06  39
31.28  41
31.34  39
36.24  100
37.63  42
42.22  57
53.38  20
70.38  19

Structural model:
```
LaSe2
1.0
8.6381 0.0000 0.0000
0.0000 4.2801 0.0000
-0.0316 0.0000 8.5627
La Se
4 8
Cartesian
1.9192 0.9426 3.1873
1.9035 1.1974 7.4687
6.7031 3.0827 1.0940
6.6873 3.3374 5.3754
1.1580 3.1731 1.0712
1.1422 3.2470 5.3525
4.2865 2.9004 3.2775
4.2707 3.5197 7.5588
4.3358 0.7604 1.0039
4.3200 1.3797 5.2852
7.4643 1.0331 3.2102
7.4485 1.1069 7.4916
```



Entry 3:
The following is a simulated X-ray powder pattern of LaSe3. It was derived from the PBE geometry in the Materials Project, using Cu Kα (λ = 1.5418 Å).

Top 10 peaks for 10 to 90 degrees two-theta, in order of rising 2θ:
2θ/deg  I/Imax
29.52  42
33.93  21
37.13  100
45.58  19
57.47  28
60.71  15
68.94  21
73.36  13
88.46  8
88.94  8

Structural model:
```
LaSe3
1.0
6.1015 0.0000 0.0000
-3.0508 5.2841 0.0000
0.0000 0.0000 6.0523
La Se
2 6
Cartesian
0.0000 3.5227 1.5131
3.0508 1.7614 4.5392
0.0000 1.8348 4.5392
-1.4618 4.3667 4.5392
1.5890 0.9174 1.5131
1.4618 4.3667 4.5392
4.5125 0.9174 1.5131
3.0508 3.4493 1.5131
```



Entry 4:
The following is a simulated X-ray powder pattern of LaSe. It was derived from the PBE geometry in the Materials Project, using Cu Kα (λ = 1.5418 Å).

Top 10 peaks for 10 to 90 degrees two-theta, in order of rising 2θ:
2θ/deg  I/Imax
25.28  13
29.27  100
41.88  75
49.55  7
51.91  27
60.71  12
66.83  3
68.81  34
76.48  25
82.07  2

Structural model:
```
LaSe
1.0
0.0000 3.0508 3.0508
3.0508 0.0000 3.0508
3.0508 3.0508 0.0000
La Se
1 1
Cartesian
0.0000 0.0000 0.0000
3.0508 3.0508 3.0508
```



Entry 5:
The following is a simulated X-ray powder pattern of La10Se19. It was derived from the PBE geometry in the Materials Project, using Cu Kα (λ = 1.5418 Å).

Top 10 peaks for 10 to 90 degrees two-theta, in order of rising 2θ:
2θ/deg  I/Imax
23.34  42
29.72  49
31.16  36
31.53  68
36.46  100
37.82  57
42.54  59
53.66  27
58.21  32
73.86  19

Structural model:
```
La10Se19
1.0
9.5044 0.0000 0.0000
0.0000 9.5044 0.0000
0.0000 0.0000 17.2210
La Se
20 38
Cartesian
0.4166 1.4550 2.0612
0.5085 1.4135 10.3995
1.4135 4.2437 15.4320
1.4550 4.3356 6.5493
2.3761 7.1283 1.9914
2.3761 7.1283 10.6019
3.2972 0.4166 6.5493
3.3387 0.5085 15.4320
4.2437 3.3387 10.3995
4.3356 3.2972 2.0612
5.1689 6.2073 15.1598
5.2607 6.1657 6.8215
6.1657 8.9959 1.7890
6.2073 9.0878 10.6717
7.1283 2.3761 6.6191
7.1283 2.3761 15.2296
8.0494 5.1689 10.6717
8.0910 5.2607 1.7890
8.9959 8.0910 6.8215
9.0878 8.0494 15.1598
0.2772 6.4132 4.2983
0.4604 1.4460 7.3492
0.4987 1.4175 16.1209
0.6561 5.8386 12.9331
1.0864 8.8484 4.3226
1.4175 4.2535 9.7107
1.4460 4.2918 1.2613
1.6610 9.2273 12.9088
2.3761 2.3761 4.3053
2.3761 7.1283 7.4754
2.3761 7.1283 16.0859
3.0912 5.0294 12.9088
3.3063 0.4604 1.2613
3.3347 0.4987 9.7107
3.6659 5.4083 4.3226
4.0961 8.4181 12.9331
4.2535 3.3347 16.1209
4.2918 3.3063 7.3492
4.4750 7.8434 4.2983
5.0294 1.6610 12.9227
5.2126 6.1982 9.8718
5.2510 6.1697 1.1002
5.4083 1.0864 4.2879
5.8386 4.0961 12.8984
6.1697 9.0057 7.5103
6.1982 9.0441 15.9597
6.4132 4.4750 4.3122
7.1283 2.3761 1.1351
7.1283 2.3761 9.7456
7.1283 7.1283 12.9158
7.8434 0.2772 4.3122
8.0585 5.2126 15.9597
8.0869 5.2510 7.5103
8.4181 0.6561 12.8984
8.8484 3.6659 4.2879
9.0057 8.0869 1.1002
9.0441 8.0585 9.8718
9.2273 3.0912 12.9227
```



Entry 6:
The following is a simulated X-ray powder pattern of LaSe2. It was derived from the PBE geometry in the Materials Project, using Cu Kα (λ = 1.5418 Å).

Top 10 peaks for 10 to 90 degrees two-theta, in order of rising 2θ:
2θ/deg  I/Imax
23.40  36
29.89  33
30.82  36
31.65  72
36.47  100
37.60  52
42.79  58
53.65  29
58.25  29
74.22  25

Structural model:
```
LaSe2
1.0
4.2270 0.0000 0.0000
0.0000 4.2270 0.0000
0.0000 0.0000 8.7043
La Se
2 4
Cartesian
1.0567 1.0567 1.9525
3.1702 3.1702 6.7518
1.0567 1.0567 7.5234
1.0567 3.1702 4.3521
3.1702 1.0567 4.3521
3.1702 3.1702 1.1809
```



Entry 7:
The following is a simulated X-ray powder pattern of LaSe. It was derived from the PBE geometry in the Materials Project, using Cu Kα (λ = 1.5418 Å).

Top 10 peaks for 10 to 90 degrees two-theta, in order of rising 2θ:
2θ/deg  I/Imax
23.96  8
34.15  100
42.15  3
49.06  18
55.32  4
61.13  37
71.91  11
77.04  2
82.06  16
87.03  1

Structural model:
```
LaSe
1.0
3.7136 0.0000 0.0000
0.0000 3.7136 0.0000
0.0000 0.0000 3.7136
La Se
1 1
Cartesian
0.0000 0.0000 0.0000
1.8568 1.8568 1.8568
```



Entry 8:
The following is a simulated X-ray powder pattern of La2USe4. It was derived from the PBE geometry in the Materials Project, using Cu Kα (λ = 1.5418 Å).

Top 10 peaks for 10 to 90 degrees two-theta, in order of rising 2θ:
2θ/deg  I/Imax
24.29  42
24.39  20
31.49  100
31.71  55
37.50  84
37.64  27
45.14  27
45.42  17
47.58  30
63.86  24

Structural model:
```
La2USe4
1.0
-4.4944 4.4944 4.4573
4.4944 -4.4944 4.4573
4.4944 4.4944 -4.4573
La U Se
4 2 8
Cartesian
2.2472 1.1407 -1.1143
3.3537 -2.2472 5.5717
2.2472 3.3537 3.3430
1.1407 6.7417 1.1143
4.4944 0.0000 2.2287
0.0000 0.0000 4.4573
2.9141 3.8247 -2.6168
5.1642 1.5804 -0.3881
1.5804 0.6697 1.8405
1.5804 3.8247 0.3881
2.9141 0.6697 4.8455
5.1642 2.9141 2.6168
-0.6697 2.9141 4.0692
-0.6697 1.5804 7.0741
```